Starting from a crystal structure in Alexandria, relaxed with PBE, the powder XRD pattern of Rb2ErHg2Te4 was calculated for CuKα.

Most intense lines, 15 to 90 degrees two-theta, in order of rising 2θ:
2θ 25.3, intensity 37; 2θ 28.2, intensity 42; 2θ 29.2, intensity 100; 2θ 30.5, intensity 51; 2θ 36.2, intensity 31; 2θ 37.9, intensity 32; 2θ 40.1, intensity 32; 2θ 41.6, intensity 32

Structure:
Unit cell a=9.089 b=9.089 c=9.006 alpha=112.58 beta=112.58 gamma=28.67
Fractional coordinates of all 9 atoms:
Rb: 0.129 0.129 0.081
Rb: 0.871 0.871 0.919
Er: 0.000 0.000 0.500
Hg: 0.313 0.313 0.493
Hg: 0.687 0.687 0.507
Te: 0.185 0.185 0.721
Te: 0.484 0.484 0.726
Te: 0.516 0.516 0.274
Te: 0.815 0.815 0.279

Starting from a crystal structure in Alexandria, relaxed with PBE, the powder XRD pattern of UAs5 was calculated for CuKα.

Most intense lines, 15 to 90 degrees two-theta, in order of rising 2θ:
2θ 33.1, intensity 25; 2θ 36.1, intensity 100; 2θ 42.6, intensity 21; 2θ 45.9, intensity 28; 2θ 57.7, intensity 20; 2θ 61.1, intensity 11; 2θ 72.3, intensity 11; 2θ 78.5, intensity 22

Structure:
Unit cell a=8.368 b=8.368 c=3.955 alpha=90.00 beta=90.00 gamma=152.65
Fractional coordinates of all 6 atoms:
U: 0.000 0.000 0.000
As: 0.145 0.855 0.500
As: 0.353 0.647 0.000
As: 0.500 0.500 0.500
As: 0.647 0.353 0.000
As: 0.855 0.145 0.500

Starting from a crystal structure in Alexandria, relaxed with PBE, the powder XRD pattern of SrAlSn2F8 was calculated for CuKα.

Most intense lines, 15 to 90 degrees two-theta, in order of rising 2θ:
2θ 19.8, intensity 41; 2θ 21.8, intensity 77; 2θ 23.7, intensity 100; 2θ 28.4, intensity 50; 2θ 30.6, intensity 33; 2θ 31.6, intensity 33; 2θ 42.4, intensity 30; 2θ 45.8, intensity 29

Structure:
Unit cell a=4.955 b=6.426 c=6.904 alpha=84.95 beta=89.14 gamma=84.99
Fractional coordinates of all 12 atoms:
Sr: 0.000 0.000 0.000
Al: 0.000 0.000 0.500
Sn: 0.454 0.424 0.271
Sn: 0.546 0.576 0.729
F: 0.140 0.835 0.318
F: 0.192 0.837 0.701
F: 0.271 0.175 0.459
F: 0.362 0.221 0.047
F: 0.638 0.779 0.953
F: 0.729 0.825 0.541
F: 0.808 0.163 0.299
F: 0.860 0.165 0.682